# Cs2AuSe2S
Calculated powder diffractogram, a wavelength of 1.5418 Å. Input: a cell relaxed with GGA-PBE.
Lines closer than 0.1° are merged.

Cell and atoms:
```
data_Cs2AuSe2S
_chemical_formula_sum 'Cs4 Au2 Se4 S2'
_space_group_name_H-M_alt 'C m m m'
_space_group_IT_number 65
_space_group_name_Hall '-C 2 2'
_cell_length_a 8.247
_cell_length_b 12.224
_cell_length_c 3.994
_cell_angle_alpha 90.00
_cell_angle_beta 90.00
_cell_angle_gamma 90.00
loop_
_atom_site_label
_atom_site_type_symbol
_atom_site_fract_x
_atom_site_fract_y
_atom_site_fract_z
_atom_site_occupancy
Cs1 Cs 0.000 0.218 0.000 1
Au1 Au 0.000 0.500 0.500 1
Se1 Se 0.201 0.500 0.000 1
S1 S 0.000 0.000 0.500 1
```

Most intense lines, 10 to 90 degrees two-theta, by angle:
12.95 deg, d = 6.837 Å, intensity 34; 21.55 deg, d = 4.124 Å, intensity 30; 24.37 deg, d = 3.653 Å, intensity 43; 26.66 deg, d = 3.343 Å, intensity 26; 29.22 deg, d = 3.056 Å, intensity 35; 34.54 deg, d = 2.597 Å, intensity 100; 40.51 deg, d = 2.227 Å, intensity 21; 52.15 deg, d = 1.754 Å, intensity 26; 53.63 deg, d = 1.709 Å, intensity 17; 55.30 deg, d = 1.661 Å, intensity 34

***

# Ag5P6Pb2
Calculated powder diffractogram, a wavelength of 1.5418 Å. Input: a cell relaxed with GGA-PBE.
Lines closer than 0.1° are merged.

Cell and atoms:
```
data_Ag5P6Pb2
_chemical_formula_sum 'Ag5 P6 Pb2'
_space_group_name_H-M_alt 'P -3 1 m'
_space_group_IT_number 162
_space_group_name_Hall '-P 3 2'
_cell_length_a 6.7305
_cell_length_b 6.7305
_cell_length_c 7.7799
_cell_angle_alpha 90.00
_cell_angle_beta 90.00
_cell_angle_gamma 120.00
loop_
_atom_site_label
_atom_site_type_symbol
_atom_site_fract_x
_atom_site_fract_y
_atom_site_fract_z
_atom_site_occupancy
Ag1 Ag 0.0000 0.0000 0.1992 1
Ag2 Ag 0.0000 0.5000 0.5000 1
P1 P 0.0000 0.3533 0.7800 1
Pb1 Pb 0.3333 0.6667 0.0000 1
```

Most intense lines, 10 to 90 degrees two-theta, by angle:
26.49 deg, d = 3.365 Å, intensity 32; 27.57 deg, d = 3.236 Å, intensity 75; 28.91 deg, d = 3.089 Å, intensity 100; 30.68 deg, d = 2.914 Å, intensity 18; 32.82 deg, d = 2.729 Å, intensity 44; 46.73 deg, d = 1.944 Å, intensity 29; 46.90 deg, d = 1.937 Å, intensity 40; 47.43 deg, d = 1.917 Å, intensity 36; 48.28 deg, d = 1.885 Å, intensity 27; 54.53 deg, d = 1.683 Å, intensity 24

***

# Ca3TlHg2
Calculated powder diffractogram, a wavelength of 1.5418 Å. Input: a cell relaxed with GGA-PBE.
Lines closer than 0.1° are merged.

Cell and atoms:
```
data_Ca3TlHg2
_chemical_formula_sum 'Ca6 Tl2 Hg4'
_space_group_name_H-M_alt 'C m m m'
_space_group_IT_number 65
_space_group_name_Hall '-C 2 2'
_cell_length_a 5.353
_cell_length_b 16.000
_cell_length_c 3.911
_cell_angle_alpha 90.00
_cell_angle_beta 90.00
_cell_angle_gamma 90.00
loop_
_atom_site_label
_atom_site_type_symbol
_atom_site_fract_x
_atom_site_fract_y
_atom_site_fract_z
_atom_site_occupancy
Ca1 Ca 0.000 0.000 0.000 1
Ca2 Ca 0.000 0.330 0.000 1
Tl1 Tl 0.000 0.500 0.500 1
Hg1 Hg 0.000 0.164 0.500 1
```

Most intense lines, 10 to 90 degrees two-theta, by angle:
22.74 deg, d = 3.911 Å, intensity 26; 23.55 deg, d = 3.778 Å, intensity 48; 32.96 deg, d = 2.717 Å, intensity 100; 33.48 deg, d = 2.676 Å, intensity 24; 33.61 deg, d = 2.667 Å, intensity 24; 40.86 deg, d = 2.209 Å, intensity 12; 48.17 deg, d = 1.889 Å, intensity 17; 58.49 deg, d = 1.578 Å, intensity 19; 59.53 deg, d = 1.553 Å, intensity 18; 59.69 deg, d = 1.549 Å, intensity 18

***

# Nd12Tm3Al
Calculated powder diffractogram, a wavelength of 1.5418 Å. Input: a cell relaxed with GGA-PBE.
Lines closer than 0.1° are merged.

Cell and atoms:
```
data_Nd12Tm3Al
_chemical_formula_sum 'Nd12 Tm3 Al1'
_space_group_name_H-M_alt 'P 4/m m m'
_space_group_IT_number 123
_space_group_name_Hall '-P 4 2'
_cell_length_a 5.061
_cell_length_b 5.061
_cell_length_c 20.481
_cell_angle_alpha 90.00
_cell_angle_beta 90.00
_cell_angle_gamma 90.00
loop_
_atom_site_label
_atom_site_type_symbol
_atom_site_fract_x
_atom_site_fract_y
_atom_site_fract_z
_atom_site_occupancy
Nd1 Nd 0.000 0.000 0.000 1
Nd2 Nd 0.000 0.000 0.245 1
Nd3 Nd 0.000 0.000 0.500 1
Nd4 Nd 0.000 0.500 0.118 1
Nd5 Nd 0.000 0.500 0.373 1
Tm1 Tm 0.500 0.500 0.247 1
Tm2 Tm 0.500 0.500 0.500 1
Al1 Al 0.500 0.500 0.000 1
```

Most intense lines, 10 to 90 degrees two-theta, by angle:
30.48 deg, d = 2.933 Å, intensity 100; 35.05 deg, d = 2.560 Å, intensity 17; 35.48 deg, d = 2.530 Å, intensity 34; 50.73 deg, d = 1.800 Å, intensity 23; 51.05 deg, d = 1.789 Å, intensity 12; 60.06 deg, d = 1.541 Å, intensity 13; 60.63 deg, d = 1.527 Å, intensity 29; 63.43 deg, d = 1.467 Å, intensity 12; 82.66 deg, d = 1.167 Å, intensity 11; 83.16 deg, d = 1.162 Å, intensity 6